Starting from a crystal structure in Alexandria, relaxed with PBE+U, the powder XRD pattern of P5WO15 was calculated for λ = 1.5418 Å (Cu Kα).
Peak positions follow from Bragg's law for the DFT cell and can differ from measured ones.

Structure:
```
42
Lattice="5.335 0.000 0.000 0.000 14.019 0.000 -1.966 0.000 8.448" Properties=species:S:1:pos:R:3 pbc="T T T"
P 0.028 2.009 0.134
P 0.028 5.001 0.134
P 1.177 1.161 2.790
P 1.177 5.849 2.790
P 1.306 3.505 4.502
P 2.063 10.515 3.946
P 2.192 8.171 5.658
P 2.192 12.858 5.658
P 3.341 9.019 8.314
P 3.341 12.010 8.314
W 2.668 0.000 0.000
W 2.668 7.010 0.000
O -1.715 3.505 8.108
O 0.266 2.024 1.670
O 0.266 4.986 1.670
O -0.152 3.505 4.272
O -0.890 1.156 7.874
O -0.890 5.853 7.874
O 0.346 0.176 3.469
O 0.346 6.833 3.469
O 1.405 8.625 0.182
O 1.405 12.404 0.182
O 1.324 10.515 2.677
O 1.390 9.279 4.940
O 1.390 11.750 4.940
O 1.100 7.546 6.665
O 1.100 13.483 6.665
O 2.269 0.536 1.784
O 2.269 6.473 1.784
O 1.979 2.269 3.508
O 1.979 4.740 3.508
O 2.045 3.505 5.771
O 1.964 1.615 8.267
O 1.964 5.395 8.267
O 3.023 7.186 4.980
O 3.023 13.843 4.980
O 4.259 8.166 0.575
O 4.259 12.863 0.575
O 3.521 10.515 4.176
O 3.103 9.034 6.778
O 3.103 11.995 6.778
O 5.084 10.515 0.340
```

The 10 most intense peaks (10 to 90 degrees two-theta), sorted by position:
- 2θ 10.47, I 100.0
- 2θ 12.63, I 51.1
- 2θ 16.43, I 73.4
- 2θ 17.06, I 31.5
- 2θ 21.03, I 45.2
- 2θ 21.28, I 43.0
- 2θ 21.97, I 55.5
- 2θ 25.46, I 54.3
- 2θ 30.77, I 31.8
- 2θ 31.26, I 25.6